Record 1
For Nd3HgS6, a PBE-relaxed structure gives the theoretical X-ray powder pattern in this record (Cu Kα, 1.54184 Å).
No peak broadening, texture or thermal motion is included.

Largest 10 diffraction maxima, sorted by position, 10 to 80 degrees two-theta:
2θ = 24.54°, I 100; 2θ = 24.97°, I 66; 2θ = 28.34°, I 27; 2θ = 34.11°, I 18; 2θ = 36.41°, I 27; 2θ = 41.48°, I 42; 2θ = 47.21°, I 20; 2θ = 47.83°, I 24; 2θ = 49.57°, I 23; 2θ = 49.70°, I 23

```
Nd3HgS6
1.0
5.507 -6.759 0.000
5.507 6.759 0.000
0.000 0.000 6.879
Nd Hg S
6 2 12
Direct
0.100 0.900 0.500
0.218 0.415 0.592
0.415 0.218 0.092
0.585 0.782 0.592
0.782 0.585 0.092
0.900 0.100 0.000
0.298 0.702 0.112
0.702 0.298 0.612
0.054 0.591 0.324
0.131 0.192 0.295
0.192 0.131 0.795
0.275 0.725 0.754
0.409 0.946 0.324
0.470 0.530 0.296
0.530 0.470 0.796
0.591 0.054 0.824
0.725 0.275 0.254
0.808 0.869 0.295
0.869 0.808 0.795
0.946 0.409 0.824
```

=====

Record 2
For Nd5HgS4, a PBE-relaxed structure gives the theoretical X-ray powder pattern in this record (Cu Kα, 1.54184 Å).
No peak broadening, texture or thermal motion is included.

Largest 10 diffraction maxima, sorted by position, 10 to 80 degrees two-theta:
2θ = 26.29°, I 9; 2θ = 26.53°, I 13; 2θ = 30.51°, I 100; 2θ = 43.19°, I 11; 2θ = 43.51°, I 24; 2θ = 43.86°, I 24; 2θ = 44.18°, I 12; 2θ = 54.64°, I 13; 2θ = 63.49°, I 11; 2θ = 72.32°, I 10

```
Nd5HgS4
1.0
6.906 -2.050 0.000
6.906 2.050 0.000
-5.158 0.000 8.891
Nd Hg S
5 1 4
Direct
0.000 0.000 0.000
0.204 0.204 0.812
0.387 0.387 0.608
0.613 0.613 0.392
0.796 0.796 0.188
0.000 0.000 0.500
0.203 0.203 0.292
0.403 0.403 0.101
0.597 0.597 0.899
0.797 0.797 0.708
```

=====

Record 3
For Nd8HgSb5, a PBE-relaxed structure gives the theoretical X-ray powder pattern in this record (Cu Kα, 1.54184 Å).
No peak broadening, texture or thermal motion is included.

Largest 10 diffraction maxima, sorted by position, 10 to 80 degrees two-theta:
2θ = 29.52°, I 55; 2θ = 29.79°, I 100; 2θ = 35.19°, I 29; 2θ = 35.36°, I 72; 2θ = 42.62°, I 12; 2θ = 46.87°, I 16; 2θ = 48.98°, I 12; 2θ = 60.06°, I 14; 2θ = 60.16°, I 13; 2θ = 61.88°, I 13

```
Nd8HgSb5
1.0
-4.740 4.740 4.789
4.740 -4.740 4.789
4.740 4.740 -4.789
Nd Hg Sb
8 1 5
Direct
0.119 0.374 0.106
0.123 0.377 0.608
0.268 0.014 0.894
0.485 0.877 0.254
0.623 0.231 0.746
0.626 0.732 0.745
0.769 0.515 0.392
0.986 0.881 0.255
0.500 0.500 0.000
0.250 0.750 0.500
0.374 0.250 0.372
0.750 0.122 0.124
0.878 0.002 0.628
0.998 0.626 0.876
```

=====

Record 4
For Nd2HgSb4, a PBE-relaxed structure gives the theoretical X-ray powder pattern in this record (Cu Kα, 1.54184 Å).
No peak broadening, texture or thermal motion is included.

Largest 10 diffraction maxima, sorted by position, 10 to 80 degrees two-theta:
2θ = 21.77°, I 17; 2θ = 26.35°, I 22; 2θ = 32.67°, I 13; 2θ = 33.31°, I 100; 2θ = 34.29°, I 13; 2θ = 40.02°, I 11; 2θ = 40.69°, I 36; 2θ = 54.23°, I 14; 2θ = 58.90°, I 12; 2θ = 69.38°, I 24

```
Nd2HgSb4
1.0
4.435 0.000 0.000
0.000 4.435 0.000
0.000 0.000 10.462
Nd Hg Sb
2 1 4
Direct
0.000 0.500 0.240
0.500 0.000 0.760
0.000 0.000 0.500
0.000 0.000 0.000
0.000 0.500 0.678
0.500 0.000 0.322
0.500 0.500 0.000
```

=====

Record 5
For Nd3ScHg, a PBE-relaxed structure gives the theoretical X-ray powder pattern in this record (Cu Kα, 1.54184 Å).
No peak broadening, texture or thermal motion is included.

Largest 10 diffraction maxima, sorted by position, 10 to 80 degrees two-theta:
2θ = 11.35°, I 28; 2θ = 26.35°, I 42; 2θ = 28.88°, I 58; 2θ = 31.80°, I 63; 2θ = 32.26°, I 68; 2θ = 32.61°, I 90; 2θ = 33.51°, I 45; 2θ = 34.07°, I 100; 2θ = 36.51°, I 25; 2θ = 51.10°, I 26

```
Nd3ScHg
1.0
11.134 -1.787 0.000
11.134 1.787 0.000
-2.170 0.000 7.793
Nd Sc Hg
6 2 2
Direct
0.015 0.015 0.245
0.178 0.178 0.461
0.375 0.375 0.961
0.625 0.625 0.039
0.822 0.822 0.539
0.985 0.985 0.755
0.262 0.262 0.170
0.738 0.738 0.830
0.415 0.415 0.383
0.585 0.585 0.617
```

=====

Record 6
For Nd12ScHg6, a PBE-relaxed structure gives the theoretical X-ray powder pattern in this record (Cu Kα, 1.54184 Å).
No peak broadening, texture or thermal motion is included.

Largest 10 diffraction maxima, sorted by position, 10 to 80 degrees two-theta:
2θ = 30.86°, I 41; 2θ = 31.57°, I 100; 2θ = 32.16°, I 9; 2θ = 36.41°, I 68; 2θ = 37.88°, I 7; 2θ = 51.98°, I 22; 2θ = 52.91°, I 15; 2θ = 61.68°, I 13; 2θ = 62.51°, I 17; 2θ = 62.93°, I 7

```
Nd12ScHg6
1.0
7.544 4.355 2.897
-7.544 4.355 2.897
0.000 -8.711 2.897
Nd Sc Hg
12 1 6
Direct
0.030 0.209 0.287
0.209 0.287 0.030
0.241 0.703 0.587
0.287 0.030 0.209
0.297 0.413 0.759
0.413 0.759 0.297
0.587 0.241 0.703
0.703 0.587 0.241
0.713 0.970 0.791
0.759 0.297 0.413
0.791 0.713 0.970
0.970 0.791 0.713
0.500 0.500 0.500
0.042 0.541 0.865
0.135 0.958 0.459
0.459 0.135 0.958
0.541 0.865 0.042
0.865 0.042 0.541
0.958 0.459 0.135
```

=====

Record 7
For Nd4HgSe2, a PBE-relaxed structure gives the theoretical X-ray powder pattern in this record (Cu Kα, 1.54184 Å).
No peak broadening, texture or thermal motion is included.

Largest 10 diffraction maxima, sorted by position, 10 to 80 degrees two-theta:
2θ = 27.72°, I 68; 2θ = 28.81°, I 55; 2θ = 29.49°, I 100; 2θ = 31.39°, I 52; 2θ = 38.12°, I 45; 2θ = 42.99°, I 30; 2θ = 43.55°, I 22; 2θ = 43.75°, I 22; 2θ = 51.92°, I 24; 2θ = 70.58°, I 26

```
Nd4HgSe2
1.0
2.104 -6.861 0.000
2.104 6.861 0.000
0.000 0.000 14.579
Nd Hg Se
8 2 4
Direct
0.000 0.000 0.000
0.000 0.000 0.500
0.274 0.726 0.621
0.274 0.726 0.879
0.439 0.561 0.250
0.561 0.439 0.750
0.726 0.274 0.121
0.726 0.274 0.379
0.111 0.889 0.250
0.889 0.111 0.750
0.363 0.637 0.062
0.363 0.637 0.438
0.637 0.363 0.562
0.637 0.363 0.938
```

=====

Record 8
For Nd8HgSe6, a PBE-relaxed structure gives the theoretical X-ray powder pattern in this record (Cu Kα, 1.54184 Å).
No peak broadening, texture or thermal motion is included.

Largest 10 diffraction maxima, sorted by position, 10 to 80 degrees two-theta:
2θ = 26.62°, I 41; 2θ = 28.29°, I 100; 2θ = 32.76°, I 56; 2θ = 34.17°, I 28; 2θ = 39.24°, I 45; 2θ = 42.66°, I 13; 2θ = 43.81°, I 14; 2θ = 47.02°, I 30; 2θ = 58.52°, I 15; 2θ = 73.54°, I 18

```
Nd8HgSe6
1.0
10.926 0.000 0.000
-5.463 9.462 0.000
0.000 0.000 4.239
Nd Hg Se
8 1 6
Direct
0.035 0.709 0.251
0.291 0.327 0.251
0.327 0.035 0.749
0.333 0.667 0.750
0.667 0.333 0.250
0.673 0.965 0.251
0.709 0.673 0.749
0.965 0.291 0.749
0.000 0.000 0.500
0.132 0.484 0.250
0.352 0.868 0.250
0.484 0.352 0.750
0.516 0.648 0.250
0.648 0.132 0.750
0.868 0.516 0.750
```

=====

Record 9
For Nd3Sm2Hg4, a PBE-relaxed structure gives the theoretical X-ray powder pattern in this record (Cu Kα, 1.54184 Å).
No peak broadening, texture or thermal motion is included.

Largest 10 diffraction maxima, sorted by position, 10 to 80 degrees two-theta:
2θ = 28.81°, I 21; 2θ = 29.01°, I 48; 2θ = 29.27°, I 50; 2θ = 33.56°, I 100; 2θ = 33.96°, I 38; 2θ = 35.95°, I 45; 2θ = 37.42°, I 24; 2θ = 38.50°, I 30; 2θ = 52.21°, I 22; 2θ = 59.79°, I 29

```
Nd3Sm2Hg4
1.0
3.504 -9.417 0.000
3.504 9.417 0.000
0.000 0.000 8.249
Nd Sm Hg
6 4 8
Direct
0.000 0.000 0.000
0.010 0.490 0.250
0.490 0.010 0.750
0.500 0.500 0.500
0.510 0.990 0.250
0.990 0.510 0.750
0.094 0.906 0.415
0.406 0.594 0.915
0.594 0.406 0.085
0.906 0.094 0.585
0.162 0.838 0.034
0.180 0.320 0.250
0.320 0.180 0.750
0.338 0.662 0.534
0.662 0.338 0.466
0.680 0.820 0.250
0.820 0.680 0.750
0.838 0.162 0.966
```

=====

Record 10
For Nd3SmHg3, a PBE-relaxed structure gives the theoretical X-ray powder pattern in this record (Cu Kα, 1.54184 Å).
No peak broadening, texture or thermal motion is included.

Largest 10 diffraction maxima, sorted by position, 10 to 80 degrees two-theta:
2θ = 11.59°, I 13; 2θ = 32.96°, I 27; 2θ = 33.43°, I 26; 2θ = 33.94°, I 100; 2θ = 47.66°, I 19; 2θ = 59.48°, I 20; 2θ = 60.09°, I 19; 2θ = 61.05°, I 10; 2θ = 71.42°, I 12; 2θ = 79.81°, I 13

```
Nd3SmHg3
1.0
5.360 -5.436 0.000
5.360 5.436 0.000
0.000 0.000 7.320
Nd Sm Hg
6 2 6
Direct
0.238 0.238 0.500
0.242 0.242 0.000
0.245 0.755 0.000
0.755 0.245 0.000
0.758 0.758 0.000
0.762 0.762 0.500
0.248 0.752 0.500
0.752 0.248 0.500
0.000 0.500 0.253
0.000 0.500 0.747
0.500 0.000 0.253
0.500 0.000 0.747
0.500 0.500 0.254
0.500 0.500 0.746
```

=====

Record 11
For Nd2SmHg, a PBE-relaxed structure gives the theoretical X-ray powder pattern in this record (Cu Kα, 1.54184 Å).
No peak broadening, texture or thermal motion is included.

Largest 10 diffraction maxima, sorted by position, 10 to 80 degrees two-theta:
2θ = 31.45°, I 55; 2θ = 32.56°, I 100; 2θ = 45.08°, I 20; 2θ = 48.30°, I 8; 2θ = 56.71°, I 42; 2θ = 58.79°, I 19; 2θ = 65.65°, I 7; 2θ = 68.20°, I 12; 2θ = 74.62°, I 9; 2θ = 75.22°, I 9

```
Nd2SmHg
1.0
5.688 0.000 0.000
0.000 5.688 0.000
0.000 0.000 3.768
Nd Sm Hg
2 1 1
Direct
0.000 0.500 0.000
0.500 0.000 0.000
0.000 0.000 0.500
0.500 0.500 0.500
```

=====

Record 12
For Nd4Sm3Hg2, a PBE-relaxed structure gives the theoretical X-ray powder pattern in this record (Cu Kα, 1.54184 Å).
No peak broadening, texture or thermal motion is included.

Largest 10 diffraction maxima, sorted by position, 10 to 80 degrees two-theta:
2θ = 31.20°, I 100; 2θ = 31.43°, I 96; 2θ = 32.32°, I 42; 2θ = 32.94°, I 50; 2θ = 42.87°, I 16; 2θ = 46.82°, I 30; 2θ = 55.10°, I 16; 2θ = 56.80°, I 12; 2θ = 57.73°, I 18; 2θ = 57.87°, I 19

```
Nd4Sm3Hg2
1.0
5.439 0.000 0.000
2.717 6.330 0.000
0.002 2.194 8.309
Nd Sm Hg
4 3 2
Direct
0.123 0.254 0.155
0.331 0.839 0.548
0.669 0.161 0.452
0.877 0.746 0.845
0.000 0.500 0.500
0.419 0.663 0.150
0.581 0.337 0.850
0.201 0.096 0.816
0.799 0.904 0.184
```